(1)
For HfGa12, the PBE geometry in OQMD gives the computed powder XRD pattern in this record (Cu Kα (weighted mean of Kα1 and Kα2)).
Neutral-atom scattering factors, no anomalous dispersion.

Largest 10 diffraction maxima, low angle first, 2θ = 10–90°:
2θ/deg, d [Å], intensity
16.06, 5.518, 23
28.01, 3.186, 18
36.41, 2.468, 100
40.03, 2.253, 41
43.39, 2.085, 78
60.50, 1.530, 20
70.35, 1.338, 28
72.71, 1.301, 13
75.04, 1.266, 34
88.63, 1.104, 15

```
HfGa12
1.0
-3.9015 3.9015 3.9015
3.9015 -3.9015 3.9015
3.9015 3.9015 -3.9015
Hf Ga
1 12
direct
0.0000 0.0000 0.0000
0.1264 0.8102 0.3162
0.1898 0.3162 0.5059
0.1898 0.6838 0.8736
0.3162 0.1264 0.8102
0.3162 0.5059 0.1898
0.4941 0.8102 0.6838
0.5059 0.1898 0.3162
0.6838 0.4941 0.8102
0.6838 0.8736 0.1898
0.8102 0.3162 0.1264
0.8102 0.6838 0.4941
0.8736 0.1898 0.6838
```

(2)
For Li2Hf2InGaPt2, the PBE geometry in OQMD gives the computed powder XRD pattern in this record (Cu Kα (weighted mean of Kα1 and Kα2)).
Neutral-atom scattering factors, no anomalous dispersion.

Largest 10 diffraction maxima, low angle first, 2θ = 10–90°:
2θ/deg, d [Å], intensity
24.09, 3.695, 46
39.84, 2.263, 100
47.00, 1.933, 8
47.15, 1.928, 16
57.44, 1.604, 6
57.70, 1.598, 11
63.31, 1.469, 6
72.22, 1.308, 11
72.39, 1.305, 23
85.84, 1.132, 7

```
Li2Hf2InGaPt2
1.0
4.5193 0.0000 0.0000
0.0000 4.5193 0.0000
0.0000 0.0000 6.4172
Li Hf In Ga Pt
2 2 1 1 2
direct
0.0000 0.5000 0.2380
0.5000 0.0000 0.7620
0.0000 0.0000 0.0000
0.5000 0.5000 0.5000
0.0000 0.0000 0.5000
0.5000 0.5000 0.0000
0.0000 0.5000 0.7604
0.5000 0.0000 0.2396
```

(3)
For Li2HfMgGa2Pd2, the PBE geometry in OQMD gives the computed powder XRD pattern in this record (Cu Kα (weighted mean of Kα1 and Kα2)).
Neutral-atom scattering factors, no anomalous dispersion.

Largest 10 diffraction maxima, low angle first, 2θ = 10–90°:
2θ/deg, d [Å], intensity
14.10, 6.281, 17
19.90, 4.462, 14
24.47, 3.638, 35
31.74, 2.820, 8
34.94, 2.568, 7
40.49, 2.228, 100
47.83, 1.902, 11
58.50, 1.578, 11
73.59, 1.287, 22
73.79, 1.284, 11

```
Li2HfMgGa2Pd2
1.0
4.4623 0.0000 0.0000
0.0000 4.4623 0.0000
0.0000 0.0000 6.2810
Li Hf Mg Ga Pd
2 1 1 2 2
direct
0.0000 0.5000 0.2284
0.5000 0.0000 0.7716
0.0000 0.0000 0.5000
0.5000 0.5000 0.0000
0.0000 0.0000 0.0000
0.5000 0.5000 0.5000
0.0000 0.5000 0.7409
0.5000 0.0000 0.2591
```